This entry pairs a crystal structure of Ca2InP3H4O13 with its simulated powder XRD pattern. Radiation: copper Kα. Structure: a crystal structure in the Materials Project, relaxed with PBE.
Intensities are scaled so that the largest is 100.

Crystal structure
```
Ca2InP3H4O13
1.0
3.8039 -8.0432 0.0000
3.8039 8.0432 0.0000
-3.7194 0.0000 8.6535
Ca In P H O
4 2 6 8 26
Direct
0.2229 0.2377 0.4377
0.2377 0.2229 0.9377
0.7623 0.7771 0.0623
0.7771 0.7623 0.5623
0.0000 0.5000 0.5000
0.5000 0.0000 0.0000
0.0241 0.3191 0.1496
0.3191 0.0241 0.6496
0.4008 0.5992 0.7500
0.5992 0.4008 0.2500
0.6809 0.9759 0.3504
0.9759 0.6809 0.8504
0.0498 0.7891 0.2860
0.2012 0.5736 0.0544
0.2109 0.9502 0.2140
0.4264 0.7988 0.4456
0.5736 0.2012 0.5544
0.7891 0.0498 0.7860
0.7988 0.4264 0.9456
0.9502 0.2109 0.7140
0.0160 0.1389 0.1145
0.0939 0.4140 0.3264
0.0952 0.9048 0.2500
0.1389 0.0160 0.6145
0.1617 0.4642 0.6653
0.1709 0.7280 0.9434
0.2034 0.4761 0.0890
0.2720 0.8291 0.5566
0.4140 0.0939 0.8264
0.4222 0.5130 0.8718
0.4642 0.1617 0.1653
0.4761 0.2034 0.5890
0.4870 0.5778 0.6282
0.5130 0.4222 0.3718
0.5239 0.7966 0.4110
0.5358 0.8383 0.8347
0.5778 0.4870 0.1282
0.5860 0.9061 0.1736
0.7280 0.1709 0.4434
0.7966 0.5239 0.9110
0.8291 0.2720 0.0566
0.8383 0.5358 0.3347
0.8611 0.9840 0.3855
0.9048 0.0952 0.7500
0.9061 0.5860 0.6736
0.9840 0.8611 0.8855
```

Peak list (10 most intense, 10° ≤ 2θ ≤ 80°, by angle)
- 13.9 deg, I 100
- 25.5 deg, I 61
- 25.6 deg, I 32
- 25.9 deg, I 19
- 29.0 deg, I 17
- 30.3 deg, I 57
- 30.6 deg, I 22
- 34.0 deg, I 16
- 36.2 deg, I 21
- 40.1 deg, I 17